Record 1
Calculated powder XRD pattern of Ba2CoSi2O7 for Cu Kα, 1.54184 Å, from a crystal structure in OQMD, relaxed with GGA+U.
Peak positions follow from Bragg's law for the DFT cell and can differ from measured ones.

Cell and atoms:
```
Ba2CoSi2O7
1.0
4.2260 -5.3515 0.0000
4.2260 5.3515 0.0000
-3.1197 0.0000 7.8701
Ba Co Si O
4 2 4 14
Direct
0.1835 0.2696 0.4733
0.2696 0.1835 0.9733
0.7304 0.8165 0.0267
0.8165 0.7304 0.5267
0.2581 0.7419 0.2500
0.7419 0.2581 0.7500
0.1683 0.6033 0.8626
0.3967 0.8317 0.6374
0.6033 0.1683 0.3626
0.8317 0.3967 0.1374
0.0215 0.7582 0.8674
0.0429 0.3530 0.7620
0.2418 0.9785 0.6326
0.3288 0.6190 0.0450
0.3351 0.6649 0.7500
0.3530 0.0429 0.2620
0.3810 0.6712 0.4550
0.6190 0.3288 0.5450
0.6470 0.9571 0.7380
0.6649 0.3351 0.2500
0.6712 0.3810 0.9550
0.7582 0.0215 0.3674
0.9571 0.6470 0.2380
0.9785 0.2418 0.1326
```

The 10 most intense peaks (2θ from 15° to 90°), sorted by position:
2θ 22.61, I 26
2θ 25.46, I 18
2θ 28.12, I 100
2θ 28.18, I 58
2θ 30.53, I 27
2θ 32.87, I 31
2θ 37.86, I 16
2θ 46.55, I 51
2θ 47.79, I 15
2θ 53.78, I 24

---

Record 2
Calculated powder XRD pattern of BaCoSiO4 for Cu Kα, 1.54184 Å, from a crystal structure in OQMD, relaxed with GGA+U.
Peak positions follow from Bragg's law for the DFT cell and can differ from measured ones.

Cell and atoms:
```
BaCoSiO4
1.0
9.1170 0.0000 0.0000
-4.5585 7.8956 0.0000
0.0000 0.0000 8.6296
Ba Co Si O
6 6 6 24
Direct
0.0000 0.0000 0.0000
0.0000 0.0000 0.5000
0.3333 0.6667 0.4537
0.3333 0.6667 0.9594
0.6667 0.3333 0.4594
0.6667 0.3333 0.9537
0.0135 0.6875 0.7723
0.3125 0.3260 0.7723
0.3260 0.0135 0.2723
0.6740 0.9865 0.7723
0.6875 0.6740 0.2723
0.9865 0.3125 0.2723
0.0129 0.6709 0.1703
0.3291 0.3421 0.1703
0.3421 0.0129 0.6703
0.6579 0.9871 0.1703
0.6709 0.6579 0.6703
0.9871 0.3291 0.6703
0.0771 0.7325 0.9916
0.0835 0.8465 0.2714
0.0958 0.5551 0.2245
0.1535 0.2370 0.2714
0.1949 0.4356 0.6806
0.2370 0.0835 0.7714
0.2407 0.8051 0.6806
0.2675 0.3446 0.9916
0.3446 0.0771 0.4916
0.4356 0.2407 0.1806
0.4449 0.5407 0.2245
0.4593 0.9042 0.2245
0.5407 0.0958 0.7245
0.5551 0.4593 0.7245
0.5644 0.7593 0.6806
0.6554 0.9229 0.9916
0.7325 0.6554 0.4916
0.7593 0.1949 0.1806
0.7630 0.9165 0.2714
0.8051 0.5644 0.1806
0.8465 0.7630 0.7714
0.9042 0.4449 0.7245
0.9165 0.1535 0.7714
0.9229 0.2675 0.4916
```

The 10 most intense peaks (2θ from 15° to 90°), sorted by position:
2θ 19.47, I 26
2θ 22.05, I 12
2θ 28.48, I 100
2θ 34.07, I 51
2θ 40.13, I 11
2θ 44.98, I 27
2θ 55.04, I 12
2θ 57.61, I 25
2θ 60.97, I 13
2θ 78.90, I 12